Li9Mn2Co5O16: theoretical X-ray powder pattern (CuKα), based on the PBE+U geometry in the Materials Project.
Kinematic intensities with the Lorentz-polarization factor, no thermal factor.

The 12 most intense peaks (2θ = 15–90°), by angle:
(hkl), d/Å, I_rel
2 0 2, 4.860, 1000
4 0 -4, 2.513, 141
1 1 -3, 2.502, 264
3 1 -1, 2.396, 73
1 1 5, 2.086, 836
5 1 1, 1.912, 92
3 1 7, 1.613, 98
2 0 10, 1.487, 74
7 1 3, 1.479, 150
5 1 -7, 1.471, 148
0 2 0, 1.463, 78
6 2 -2, 1.198, 67

a = 12.885 Å, b = 2.926 Å, c = 15.419 Å
α = 90.00°, β = 91.95°, γ = 90.00°
Space group Cm (No. 8)
One atom of each set of equivalent atoms:
1 Li 0.000 0.000 0.000 (multiplicity 2)
2 Li 0.002 0.500 0.490 (multiplicity 2)
3 Li 0.125 0.000 0.374 (multiplicity 2)
4 Li 0.128 0.500 0.873 (multiplicity 2)
5 Li 0.190 0.000 0.558 (multiplicity 2)
6 Li 0.247 0.000 0.741 (multiplicity 2)
7 Li 0.250 0.500 0.249 (multiplicity 2)
8 Li 0.369 0.500 0.613 (multiplicity 2)
9 Li 0.375 0.000 0.125 (multiplicity 2)
10 Mn 0.071 0.500 0.680 (multiplicity 2)
11 Mn 0.437 0.500 0.808 (multiplicity 2)
12 Co 0.059 0.000 0.185 (multiplicity 2)
13 Co 0.186 0.500 0.060 (multiplicity 2)
14 Co 0.303 0.500 0.440 (multiplicity 2)
15 Co 0.309 0.000 0.935 (multiplicity 2)
16 Co 0.433 0.000 0.312 (multiplicity 2)
17 O 0.035 0.000 0.603 (multiplicity 2)
18 O 0.035 0.500 0.093 (multiplicity 2)
19 O 0.086 0.500 0.272 (multiplicity 2)
20 O 0.089 0.000 0.768 (multiplicity 2)
21 O 0.160 0.000 0.970 (multiplicity 2)
22 O 0.167 0.500 0.461 (multiplicity 2)
23 O 0.208 0.500 0.657 (multiplicity 2)
24 O 0.213 0.000 0.145 (multiplicity 2)
25 O 0.285 0.500 0.847 (multiplicity 2)
26 O 0.290 0.000 0.342 (multiplicity 2)
27 O 0.340 0.500 0.020 (multiplicity 2)
28 O 0.345 0.000 0.520 (multiplicity 2)
29 O 0.411 0.500 0.218 (multiplicity 2)
30 O 0.416 0.000 0.724 (multiplicity 2)
31 O 0.464 0.500 0.397 (multiplicity 2)
32 O 0.465 0.000 0.892 (multiplicity 2)

Ca3Fe4Sb6O24: theoretical X-ray powder pattern (CuKα), based on the PBE+U geometry in the Materials Project.
Kinematic intensities with the Lorentz-polarization factor, no thermal factor.

The 12 most intense peaks (2θ = 15–90°), by angle:
(hkl), d/Å, I_rel
1 0 1, 4.727, 316
1 0 -2, 4.290, 211
1 1 0, 4.040, 375
0 1 2, 3.481, 1000
-1 2 1, 3.463, 735
2 0 -1, 3.195, 917
2 -2 0, 3.150, 320
0 2 -3, 3.020, 891
1 2 0, 2.751, 353
2 -2 2, 2.706, 307
2 2 -4, 1.894, 280
-1 3 3, 1.833, 299

a = 6.925 Å, b = 8.732 Å, c = 10.213 Å
α = 107.41°, β = 95.51°, γ = 112.03°
Space group P-1 (No. 2)
One atom of each set of equivalent atoms:
1 Ca 0.000 0.000 0.000 (multiplicity 1)
2 Ca 0.061 0.535 0.688 (multiplicity 2)
3 Fe 0.270 0.362 0.902 (multiplicity 2)
4 Fe 0.462 0.814 0.507 (multiplicity 2)
5 Sb 0.053 0.922 0.615 (multiplicity 2)
6 Sb 0.299 0.777 0.160 (multiplicity 2)
7 Sb 0.387 0.389 0.258 (multiplicity 2)
8 O 0.013 0.625 0.158 (multiplicity 2)
9 O 0.098 0.246 0.294 (multiplicity 2)
10 O 0.141 0.744 0.515 (multiplicity 2)
11 O 0.174 0.103 0.797 (multiplicity 2)
12 O 0.200 0.088 0.502 (multiplicity 2)
13 O 0.229 0.287 0.066 (multiplicity 2)
14 O 0.274 0.927 0.069 (multiplicity 2)
15 O 0.325 0.590 0.343 (multiplicity 2)
16 O 0.331 0.468 0.759 (multiplicity 2)
17 O 0.418 0.622 0.061 (multiplicity 2)
18 O 0.461 0.930 0.357 (multiplicity 2)
19 O 0.467 0.711 0.647 (multiplicity 2)

GaFeO3: theoretical X-ray powder pattern (CuKα), based on the PBE+U geometry in the Materials Project.
Kinematic intensities with the Lorentz-polarization factor, no thermal factor.

The 12 most intense peaks (2θ = 15–90°), by angle:
(hkl), d/Å, I_rel
0 1 3, 2.992, 370
1 2 2, 2.749, 1000
2 0 0, 2.586, 232
2 0 1, 2.494, 146
1 3 1, 2.477, 334
2 1 2, 2.200, 178
2 0 4, 1.752, 119
0 5 3, 1.548, 139
2 0 5, 1.534, 131
1 3 5, 1.530, 317
3 3 0, 1.488, 241
3 2 3, 1.433, 127

a = 5.167 Å, b = 8.863 Å, c = 9.536 Å
α = 90.00°, β = 90.00°, γ = 90.00°
Space group Pna2_1 (No. 33)
One atom of each set of equivalent atoms:
1 Ga 0.175 0.153 0.000 (multiplicity 4)
2 Ga 0.186 0.839 0.806 (multiplicity 4)
3 Fe 0.175 0.468 0.798 (multiplicity 4)
4 Fe 0.191 0.152 0.582 (multiplicity 4)
5 O 0.013 0.012 0.432 (multiplicity 4)
6 O 0.013 0.330 0.940 (multiplicity 4)
7 O 0.025 0.677 0.923 (multiplicity 4)
8 O 0.153 0.161 0.197 (multiplicity 4)
9 O 0.153 0.830 0.172 (multiplicity 4)
10 O 0.156 0.498 0.203 (multiplicity 4)

Fe2O3: theoretical X-ray powder pattern (CuKα), based on the PBE+U geometry in the Materials Project.
Kinematic intensities with the Lorentz-polarization factor, no thermal factor.

The 12 most intense peaks (2θ = 15–90°), by angle:
(hkl), d/Å, I_rel
0 1 2, 3.731, 325
1 0 4, 2.734, 1000
1 1 0, 2.552, 773
1 1 3, 2.236, 192
0 2 4, 1.866, 395
1 1 6, 1.716, 531
2 1 4, 1.506, 337
3 0 0, 1.474, 336
1 0 10, 1.327, 132
2 2 0, 1.276, 83
1 3 4, 1.156, 102
2 2 6, 1.118, 106

a = 5.1049 Å, b = 5.1049 Å, c = 13.9133 Å
α = 90.00°, β = 90.00°, γ = 120.00°
Space group R-3c (No. 167, hexagonal axes)
One atom of each set of equivalent atoms:
1 Fe 0.0000 0.0000 0.1458 (multiplicity 12)
2 O 0.0000 0.3049 0.2500 (multiplicity 18)

Li2Co3TeO8: theoretical X-ray powder pattern (CuKα), based on the PBE+U geometry in the Materials Project.
Kinematic intensities with the Lorentz-polarization factor, no thermal factor.

The 12 most intense peaks (2θ = 15–90°), by angle:
(hkl), d/Å, I_rel
0 0 1, 4.979, 1000
1 0 -1, 4.913, 103
0 2 -1, 2.599, 169
2 0 -1, 2.580, 124
-2 2 1, 2.535, 135
0 0 2, 2.490, 60
0 2 0, 2.477, 54
0 2 -2, 2.163, 186
2 0 0, 2.157, 176
-2 2 2, 2.100, 165
2 0 1, 1.666, 105
2 -4 0, 1.507, 99

a = 5.974 Å, b = 6.026 Å, c = 6.034 Å
α = 91.70°, β = 118.60°, γ = 119.02°
Space group P-1 (No. 2)
One atom of each set of equivalent atoms:
1 Li 0.000 0.000 0.000 (multiplicity 1)
2 Li 0.000 0.500 0.000 (multiplicity 1)
3 Co 0.000 0.000 0.500 (multiplicity 1)
4 Co 0.000 0.500 0.500 (multiplicity 1)
5 Co 0.500 0.000 0.500 (multiplicity 1)
6 Te 0.500 0.500 0.500 (multiplicity 1)
7 O 0.044 0.267 0.274 (multiplicity 2)
8 O 0.062 0.794 0.306 (multiplicity 2)
9 O 0.486 0.726 0.720 (multiplicity 2)
10 O 0.491 0.253 0.710 (multiplicity 2)

MgTi2Fe4O8: theoretical X-ray powder pattern (CuKα), based on the PBE+U geometry in the Materials Project.
Kinematic intensities with the Lorentz-polarization factor, no thermal factor.

The 12 most intense peaks (2θ = 15–90°), by angle:
(hkl), d/Å, I_rel
2 0 -1, 5.310, 218
1 1 0, 5.250, 258
3 1 -1, 3.259, 1000
2 0 -2, 3.210, 355
2 0 1, 2.828, 261
3 1 0, 2.819, 305
3 1 -2, 2.738, 420
2 2 -1, 2.714, 762
4 0 1, 1.813, 299
4 2 -3, 1.741, 375
2 2 2, 1.630, 703
0 4 0, 1.578, 253

a = 11.420 Å, b = 6.314 Å, c = 6.419 Å
α = 90.00°, β = 124.15°, γ = 90.00°
Space group Cm (No. 8)
One atom of each set of equivalent atoms:
1 Mg 0.000 0.000 0.000 (multiplicity 2)
2 Ti 0.368 0.500 0.174 (multiplicity 2)
3 Ti 0.368 0.500 0.563 (multiplicity 2)
4 Fe 0.043 0.500 0.543 (multiplicity 2)
5 Fe 0.167 0.264 0.164 (multiplicity 4)
6 Fe 0.259 0.000 0.757 (multiplicity 2)
7 O 0.119 0.000 0.354 (multiplicity 2)
8 O 0.120 0.000 0.885 (multiplicity 2)
9 O 0.167 0.500 0.398 (multiplicity 2)
10 O 0.168 0.500 0.933 (multiplicity 2)
11 O 0.384 0.264 0.882 (multiplicity 4)
12 O 0.399 0.261 0.399 (multiplicity 4)